(1)
For TbPr3Tm7, a DFT-relaxed cell (PBE, Alexandria) gives the simulated powder diffraction line list in this record (Cu Kα (λ = 1.5418 Å)).

Structural model:
Lattice parameters (Å, degrees): 6.4888 6.6602 8.5651 99.46 98.27 95.10
Element x y z (fractional)
Tb (0.0000, 0.0000, 0.0000)
Pr (0.3011, 0.4375, 0.3365)
Pr (0.5000, 0.0000, 0.5000)
Pr (0.6989, 0.5625, 0.6635)
Tm (0.0000, 0.5000, 0.0000)
Tm (0.0608, 0.2081, 0.6455)
Tm (0.2208, 0.7244, 0.7143)
Tm (0.4869, 0.2327, 0.9198)
Tm (0.5131, 0.7673, 0.0802)
Tm (0.7792, 0.2756, 0.2857)
Tm (0.9392, 0.7919, 0.3545)

Peak list (6 most intense, 5 to 70 degrees two-theta, by intensity)
31.61°, I = 100; 32.13°, I = 83; 33.07°, I = 56; 32.48°, I = 52; 32.36°, I = 38; 32.67°, I = 35

(2)
For Nb3WSe6, a DFT-relaxed cell (PBE, Alexandria) gives the simulated powder diffraction line list in this record (Cu Kα (λ = 1.5418 Å)).

Structural model:
Lattice parameters (Å, degrees): 8.3322 8.3322 8.3322 68.57 68.57 68.57
Element x y z (fractional)
Nb (0.1226, 0.6393, 0.2508)
Nb (0.2508, 0.1226, 0.6393)
Nb (0.3608, 0.7492, 0.8774)
Nb (0.6393, 0.2508, 0.1226)
Nb (0.7492, 0.8774, 0.3607)
Nb (0.8774, 0.3607, 0.7492)
W (0.0000, 0.0000, 0.0000)
W (0.5000, 0.5000, 0.5000)
Se (0.0466, 0.9289, 0.3193)
Se (0.0711, 0.6807, 0.9534)
Se (0.1729, 0.4731, 0.5846)
Se (0.3193, 0.0466, 0.9289)
Se (0.4154, 0.8271, 0.5269)
Se (0.4731, 0.5846, 0.1729)
Se (0.5269, 0.4154, 0.8271)
Se (0.5846, 0.1729, 0.4731)
Se (0.6807, 0.9534, 0.0711)
Se (0.8271, 0.5269, 0.4154)
Se (0.9289, 0.3193, 0.0466)
Se (0.9534, 0.0711, 0.6807)

Peak list (6 most intense, 5 to 70 degrees two-theta, by intensity)
34.78°, I = 100; 14.34°, I = 74; 48.47°, I = 32; 13.99°, I = 27; 41.15°, I = 24; 51.52°, I = 22

(3)
For Cs6Rb2Sb, a DFT-relaxed cell (PBE, Alexandria) gives the simulated powder diffraction line list in this record (Cu Kα (λ = 1.5418 Å)).

Structural model:
Lattice parameters (Å, degrees): 10.7516 10.7516 10.7312 119.92 119.92 59.76
Element x y z (fractional)
Cs (0.2398, 0.2398, 0.2383)
Cs (0.2422, 0.7576, 0.2400)
Cs (0.2424, 0.7578, 0.7600)
Cs (0.7576, 0.2422, 0.2400)
Cs (0.7578, 0.2424, 0.7600)
Cs (0.7602, 0.7602, 0.7617)
Rb (0.2479, 0.2479, 0.7463)
Rb (0.7521, 0.7521, 0.2537)
Sb (0.0000, 0.0000, 0.0000)

Peak list (6 most intense, 5 to 70 degrees two-theta, by intensity)
20.25°, I = 100; 23.47°, I = 58; 33.34°, I = 58; 39.40°, I = 34; 23.33°, I = 30; 41.17°, I = 25

(4)
For Li3Mg2Ga, a DFT-relaxed cell (PBE, Alexandria) gives the simulated powder diffraction line list in this record (Cu Kα (λ = 1.5418 Å)).

Structural model:
Lattice parameters (Å, degrees): 4.6929 6.6022 7.4096 90.00 108.12 90.00
Element x y z (fractional)
Li (0.0000, 0.2370, 0.0000)
Li (0.0000, 0.7630, 0.0000)
Li (0.3270, 0.2194, 0.6461)
Li (0.3270, 0.7806, 0.6461)
Li (0.6730, 0.2194, 0.3539)
Li (0.6730, 0.7806, 0.3539)
Mg (0.1590, 0.5000, 0.3267)
Mg (0.5000, 0.0000, 0.0000)
Mg (0.5000, 0.5000, 0.0000)
Mg (0.8410, 0.5000, 0.6733)
Ga (0.1488, 0.0000, 0.3119)
Ga (0.8512, 0.0000, 0.6881)

Peak list (6 most intense, 5 to 70 degrees two-theta, by intensity)
38.38°, I = 100; 26.98°, I = 83; 38.52°, I = 51; 13.41°, I = 42; 26.78°, I = 41; 47.54°, I = 33

(5)
For CuTeBr2, a DFT-relaxed cell (PBE, Alexandria) gives the simulated powder diffraction line list in this record (Cu Kα (λ = 1.5418 Å)).

Structural model:
Lattice parameters (Å, degrees): 3.6050 5.6706 14.5718 90.00 90.00 90.00
Element x y z (fractional)
Cu (0.0000, 0.0000, 0.0000)
Cu (0.5000, 0.5000, 0.5000)
Te (0.0000, 0.5000, 0.3727)
Te (0.5000, 0.0000, 0.8727)
Br (0.0000, 0.0000, 0.3776)
Br (0.0000, 0.5000, 0.6100)
Br (0.5000, 0.0000, 0.1100)
Br (0.5000, 0.5000, 0.8776)

Peak list (6 most intense, 5 to 70 degrees two-theta, by intensity)
16.78°, I = 100; 12.15°, I = 89; 30.89°, I = 61; 31.55°, I = 52; 44.74°, I = 43; 39.77°, I = 43

(6)
For Cs2MgCdCl6, a DFT-relaxed cell (PBE, Alexandria) gives the simulated powder diffraction line list in this record (Cu Kα (λ = 1.5418 Å)).

Structural model:
Lattice parameters (Å, degrees): 13.1149 13.1149 13.1149 33.05 33.05 33.05
Element x y z (fractional)
Cs (0.1259, 0.1259, 0.1259)
Cs (0.2895, 0.2895, 0.2895)
Cs (0.7105, 0.7105, 0.7105)
Cs (0.8741, 0.8741, 0.8741)
Mg (0.0000, 0.0000, 0.0000)
Mg (0.5000, 0.5000, 0.5000)
Cd (0.4112, 0.4112, 0.4112)
Cd (0.5888, 0.5888, 0.5888)
Cl (0.1466, 0.6148, 0.6148)
Cl (0.2004, 0.2004, 0.7178)
Cl (0.2004, 0.7178, 0.2004)
Cl (0.2822, 0.7996, 0.7996)
Cl (0.3852, 0.3852, 0.8534)
Cl (0.3852, 0.8534, 0.3852)
Cl (0.6148, 0.1466, 0.6148)
Cl (0.6148, 0.6148, 0.1466)
Cl (0.7178, 0.2004, 0.2004)
Cl (0.7996, 0.2822, 0.7996)
Cl (0.7996, 0.7996, 0.2822)
Cl (0.8534, 0.3852, 0.3852)

Peak list (6 most intense, 5 to 70 degrees two-theta, by intensity)
32.44°, I = 100; 23.85°, I = 98; 21.67°, I = 74; 48.83°, I = 46; 30.16°, I = 41; 36.87°, I = 28